[1]
Starting from a cell relaxed with GGA-PBE, the XRD peak list of MgFe4S8 was simulated for Cu Ka.

The 6 most intense peaks (2θ = 10–80°), sorted by position:
14.72°, intensity 100; 31.72°, intensity 20; 37.26°, intensity 92; 47.50°, intensity 21; 51.62°, intensity 28; 55.75°, intensity 27

```
MgFe4S8
1.0
3.298 1.904 6.018
-3.298 1.904 6.018
0.000 -3.808 6.018
Mg Fe S
1 4 8
Cartesian
0.000 0.000 0.000
-3.298 0.000 9.027
-1.649 0.952 3.009
1.649 0.952 3.009
0.000 0.000 9.027
-1.650 -0.953 10.283
0.000 0.000 4.287
0.000 -1.906 7.771
-1.650 0.953 7.771
1.650 -0.953 10.283
0.000 1.906 10.283
0.000 0.000 13.767
1.650 0.953 7.771
```

[2]
Starting from a cell relaxed with GGA-PBE, the XRD peak list of Mg2TiFe3S8 was simulated for Cu Ka.

The 6 most intense peaks (2θ = 10–80°), sorted by position:
15.28°, intensity 54; 15.78°, intensity 40; 29.67°, intensity 35; 36.06°, intensity 100; 51.18°, intensity 35; 52.60°, intensity 41

```
Mg2TiFe3S8
1.0
5.984 -3.562 0.000
5.984 3.562 0.000
-3.845 0.000 5.805
Mg Ti Fe S
2 1 3 8
Cartesian
0.066 0.000 2.177
8.056 0.000 3.629
5.984 0.000 0.000
2.992 1.781 0.000
2.992 -1.781 0.000
4.061 0.000 2.903
4.825 1.620 1.422
0.012 0.000 4.593
2.336 0.000 1.342
3.297 1.620 4.383
4.825 -1.620 1.422
5.786 0.000 4.463
8.110 0.000 1.213
3.297 -1.620 4.383
```

[3]
Starting from a cell relaxed with GGA-PBE, the XRD peak list of MgTiFeS4 was simulated for Cu Ka.

The 6 most intense peaks (2θ = 10–80°), sorted by position:
14.95°, intensity 25; 15.11°, intensity 49; 28.91°, intensity 32; 35.17°, intensity 100; 50.50°, intensity 31; 50.67°, intensity 32

```
MgTiFeS4
1.0
7.164 0.000 0.000
3.576 6.254 0.000
3.578 2.055 5.934
Mg Ti Fe S
2 2 2 8
Cartesian
1.790 1.058 0.762
12.528 7.251 5.172
3.577 4.154 2.967
7.159 4.154 2.967
5.371 1.027 2.967
5.370 3.127 0.000
5.368 5.040 1.548
5.369 3.013 4.254
3.803 2.118 1.585
7.382 6.189 4.347
6.936 2.120 1.587
10.515 6.190 4.349
8.948 5.295 1.680
8.950 3.268 4.386
```

[4]
Starting from a cell relaxed with GGA-PBE, the XRD peak list of Mg2V3FeS8 was simulated for Cu Ka.

The 6 most intense peaks (2θ = 10–80°), sorted by position:
15.25°, intensity 67; 29.31°, intensity 36; 35.47°, intensity 100; 46.66°, intensity 28; 50.56°, intensity 50; 51.52°, intensity 45

```
Mg2V3FeS8
1.0
3.548 2.048 5.949
-3.548 2.048 5.949
0.000 -4.097 5.949
Mg V Fe S
2 3 1 8
Cartesian
0.000 0.000 2.232
0.000 0.000 15.616
-1.774 -1.024 5.949
-1.774 1.024 11.899
0.000 2.048 5.949
0.000 0.000 8.924
0.000 0.000 4.649
0.000 -1.802 7.447
-1.561 0.901 7.447
-1.561 -0.901 10.401
1.561 0.901 7.447
1.561 -0.901 10.401
0.000 1.802 10.401
0.000 0.000 13.199
```

[5]
Starting from a cell relaxed with GGA-PBE, the XRD peak list of Mg2VFe3S8 was simulated for Cu Ka.

The 6 most intense peaks (2θ = 10–80°), sorted by position:
15.51°, intensity 60; 15.73°, intensity 36; 30.02°, intensity 36; 36.44°, intensity 100; 52.13°, intensity 33; 52.79°, intensity 43

```
Mg2VFe3S8
1.0
5.986 -3.499 0.000
5.986 3.499 0.000
-3.928 0.000 5.726
Mg V Fe S
2 1 3 8
Cartesian
0.028 0.000 2.148
8.015 0.000 3.577
5.986 0.000 0.000
2.993 1.750 0.000
2.993 -1.750 0.000
4.021 0.000 2.863
4.822 1.564 1.380
-0.023 0.000 4.549
2.294 0.000 1.328
3.221 1.564 4.346
4.822 -1.564 1.380
5.749 0.000 4.397
8.066 0.000 1.176
3.221 -1.564 4.346
```

[6]
Starting from a cell relaxed with GGA-PBE, the XRD peak list of MgVFeS4 was simulated for Cu Ka.

The 6 most intense peaks (2θ = 10–80°), sorted by position:
15.17°, intensity 43; 15.44°, intensity 91; 29.39°, intensity 57; 35.57°, intensity 51; 35.96°, intensity 100; 51.48°, intensity 94

```
MgVFeS4
1.0
-3.487 3.579 5.047
3.487 -3.579 5.047
3.487 3.579 -5.047
Mg V Fe S
2 2 2 8
Cartesian
0.000 1.789 1.257
3.487 1.789 3.791
1.744 1.789 -2.524
1.744 -1.789 2.524
3.487 0.000 0.000
0.000 0.000 5.047
3.487 -0.126 2.322
2.018 1.789 -0.096
4.956 1.789 -0.096
3.487 3.453 -2.322
0.000 0.126 7.369
-1.469 1.789 5.143
1.469 1.789 5.143
0.000 3.705 2.726
```

[7]
Starting from a cell relaxed with GGA-PBE, the XRD peak list of MgFeWS4 was simulated for Cu Ka.

The 6 most intense peaks (2θ = 10–80°), sorted by position:
14.76°, intensity 100; 28.51°, intensity 24; 29.60°, intensity 38; 34.57°, intensity 21; 35.45°, intensity 39; 50.35°, intensity 31

```
MgFeWS4
1.0
6.358 -3.491 0.000
6.358 3.491 0.000
-4.250 0.000 6.006
Mg Fe W S
2 2 2 8
Cartesian
0.000 0.000 0.000
-0.126 0.000 4.434
6.421 0.000 2.302
4.281 0.000 5.339
2.911 2.013 2.079
2.911 -2.013 2.079
4.957 1.608 3.535
3.978 0.000 0.912
2.170 0.000 3.482
7.332 1.518 0.715
4.957 -1.608 3.535
7.332 -1.518 0.715
8.290 0.000 3.648
10.430 0.000 0.635
```

[8]
Starting from a cell relaxed with GGA-PBE, the XRD peak list of Mg2FeW3S8 was simulated for Cu Ka.

The 6 most intense peaks (2θ = 10–80°), sorted by position:
14.69°, intensity 100; 15.35°, intensity 65; 29.75°, intensity 47; 35.54°, intensity 71; 47.24°, intensity 25; 52.01°, intensity 24

```
Mg2FeW3S8
1.0
6.092 -3.515 0.000
6.092 3.515 0.000
-4.060 0.000 6.029
Mg Fe W S
2 1 3 8
Cartesian
0.000 0.000 0.000
0.002 0.000 4.285
4.065 0.000 3.899
2.885 2.037 1.763
2.885 -2.037 1.763
6.419 0.000 1.762
2.005 0.000 2.908
5.093 1.784 2.907
4.063 0.000 0.632
7.261 1.496 0.057
9.848 0.000 0.057
7.261 -1.496 0.057
5.093 -1.784 2.907
8.124 0.000 3.428
```

[9]
Starting from a cell relaxed with GGA-PBE, the XRD peak list of Mg2Fe3WS8 was simulated for Cu Ka.

The 6 most intense peaks (2θ = 10–80°), sorted by position:
15.03°, intensity 100; 29.04°, intensity 81; 35.18°, intensity 71; 46.20°, intensity 30; 50.54°, intensity 33; 50.67°, intensity 32

```
Mg2Fe3WS8
1.0
6.238 -3.615 0.000
6.238 3.615 0.000
-4.142 0.000 5.887
Mg Fe W S
2 3 1 8
Cartesian
0.078 0.000 2.185
8.256 0.000 3.703
3.119 1.808 0.000
3.119 -1.808 0.000
4.167 0.000 2.944
6.238 0.000 0.000
0.057 0.000 4.580
5.158 1.660 1.397
2.342 0.000 1.382
3.176 1.660 4.490
5.158 -1.660 1.397
5.993 0.000 4.505
3.176 -1.660 4.490
8.278 0.000 1.307
```

[10]
Starting from a cell relaxed with GGA-PBE, the XRD peak list of MgZn2Fe4S8 was simulated for Cu Ka.

The 6 most intense peaks (2θ = 10–80°), sorted by position:
26.42°, intensity 56; 30.48°, intensity 100; 31.02°, intensity 56; 36.77°, intensity 70; 51.62°, intensity 76; 54.36°, intensity 59

```
MgZn2Fe4S8
1.0
6.736 0.000 0.000
-3.360 5.851 0.000
-3.367 -1.955 5.937
Mg Zn Fe S
1 2 4 8
Cartesian
0.000 0.000 0.000
0.001 -0.002 2.600
0.008 3.897 3.337
-1.680 2.926 0.000
-3.363 1.948 2.968
3.368 0.000 0.000
1.688 2.926 0.000
-3.364 0.211 4.506
-4.860 2.813 4.511
0.004 3.905 1.092
-1.862 2.812 4.508
1.871 1.084 1.429
0.005 -0.009 4.845
4.869 1.083 1.425
3.373 3.684 1.431
```

[11]
Starting from a cell relaxed with GGA-PBE, the XRD peak list of MgZn2Fe4S8 was simulated for Cu Ka.

The 6 most intense peaks (2θ = 10–80°), sorted by position:
24.36°, intensity 100; 28.64°, intensity 94; 42.85°, intensity 32; 45.57°, intensity 49; 49.88°, intensity 80; 49.99°, intensity 40

```
MgZn2Fe4S8
1.0
7.294 0.000 0.000
-3.636 6.333 0.000
-3.639 -2.114 5.975
Mg Zn Fe S
1 2 4 8
Cartesian
0.000 0.000 0.000
-3.626 2.118 2.994
0.011 0.003 4.480
0.019 2.526 0.893
-1.452 5.084 0.898
0.023 4.233 3.298
1.487 5.076 0.899
0.019 0.008 2.219
-1.829 -1.058 5.246
-1.677 3.248 2.192
-3.623 2.118 5.390
3.659 -0.136 2.192
1.719 3.244 2.192
0.028 2.129 5.244
1.859 -1.049 5.238
```

[12]
Starting from a cell relaxed with GGA-PBE, the XRD peak list of Mg6FeSb was simulated for Cu Ka.

The 6 most intense peaks (2θ = 10–80°), sorted by position:
16.82°, intensity 36; 18.31°, intensity 21; 24.96°, intensity 31; 34.00°, intensity 34; 37.10°, intensity 24; 38.89°, intensity 100

```
Mg6FeSb
1.0
4.847 0.000 0.000
0.000 6.091 0.000
0.000 0.000 10.542
Mg Fe Sb
12 2 2
Cartesian
0.000 0.000 0.000
0.000 0.000 5.136
0.000 1.416 2.520
0.000 1.630 7.791
0.000 3.046 5.271
0.000 3.046 10.406
0.000 4.461 7.791
0.000 4.675 2.520
2.423 1.508 9.572
2.423 1.537 4.302
2.423 4.554 4.302
2.423 4.583 9.572
2.423 0.000 1.681
2.423 3.046 6.952
2.423 0.000 6.921
2.423 3.046 1.650
```

What did the fifth record say?
Starting from a cell relaxed with GGA-PBE, the XRD peak list of Mg2VFe3S8 was simulated for Cu Ka.

The 6 most intense peaks (2θ = 10–80°), sorted by position:
15.51°, intensity 60; 15.73°, intensity 36; 30.02°, intensity 36; 36.44°, intensity 100; 52.13°, intensity 33; 52.79°, intensity 43

```
Mg2VFe3S8
1.0
5.986 -3.499 0.000
5.986 3.499 0.000
-3.928 0.000 5.726
Mg V Fe S
2 1 3 8
Cartesian
0.028 0.000 2.148
8.015 0.000 3.577
5.986 0.000 0.000
2.993 1.750 0.000
2.993 -1.750 0.000
4.021 0.000 2.863
4.822 1.564 1.380
-0.023 0.000 4.549
2.294 0.000 1.328
3.221 1.564 4.346
4.822 -1.564 1.380
5.749 0.000 4.397
8.066 0.000 1.176
3.221 -1.564 4.346
```